Starting from a DFT-relaxed cell (PBE, Alexandria), the powder diffractogram of Pa2BiO2 was calculated for Cu Kα (λ = 1.5418 Å).

Atomic structure:
Unit cell a=6.6245 b=10.3506 c=11.7064 alpha=90.00 beta=90.00 gamma=90.00
Space group Fddd (No. 70, origin choice 2)
Unique sites:
Pa 0.1250 0.3065 0.1250 (multiplicity 16)
Bi 0.1250 0.1250 0.6250 (multiplicity 8)
O 0.1250 0.1250 0.0073 (multiplicity 16)

Principal peaks in the range 2θ = 15–90°, in order of rising 2θ:
hkl  d_spacing  2theta  I/Imax
1 3 1  2.961  30.19  93
0 0 4  2.927  30.55  46
2 0 2  2.883  31.02  100
1 3 3  2.408  37.34  61
1 3 5  1.859  48.99  29
3 3 1  1.837  49.63  24
2 0 6  1.680  54.63  41
4 0 0  1.655  55.51  27
2 6 0  1.530  60.51  14
2 6 4  1.356  69.30  15